The following is a calculated powder diffractogram of Cs2K2MnO4. It was derived from DFT lattice parameters and positions (GGA+U), using Cu Kα, 1.54184 Å.
Lines closer than 0.1° are merged.

Structural model:
```
data_Cs2K2MnO4
_chemical_formula_sum 'Cs4 K4 Mn2 O8'
_cell_length_a 6.517
_cell_length_b 6.517
_cell_length_c 8.717
_cell_angle_alpha 90.00
_cell_angle_beta 90.00
_cell_angle_gamma 90.00
_symmetry_space_group_name_H-M 'I 4/m m m'
_symmetry_Int_Tables_number 139
_symmetry_space_group_name_Hall '-I 4 2'
loop_
_atom_site_label
_atom_site_type_symbol
_atom_site_fract_x
_atom_site_fract_y
_atom_site_fract_z
Cs1 Cs 0.000 0.500 0.250
K1 K 0.000 0.000 0.158
Mn1 Mn 0.000 0.000 0.500
O1 O 0.209 0.209 0.500
```

Peak list (6 most intense, 10 to 90 degrees two-theta, by intensity)
- 2θ 28.18, rel. 100.0, (1 1 2)
- 2θ 27.37, rel. 74.6, (2 0 0)
- 2θ 34.36, rel. 61.4, (2 0 2)
- 2θ 39.10, rel. 48.8, (2 2 0)
- 2θ 48.89, rel. 38.3, (3 1 2)
- 2θ 46.07, rel. 19.7, (1 1 4)

The following is a calculated powder diffractogram of CsK2Mo2O7. It was derived from DFT lattice parameters and positions (GGA+U), using Cu Kα, 1.54184 Å.
Lines closer than 0.1° are merged.

Structural model:
```
data_CsK2Mo2O7
_chemical_formula_sum 'Cs3 K6 Mo6 O21'
_cell_length_a 6.8531
_cell_length_b 6.8531
_cell_length_c 25.3111
_cell_angle_alpha 90.00
_cell_angle_beta 90.00
_cell_angle_gamma 120.00
_symmetry_space_group_name_H-M 'R 3 2'
_symmetry_Int_Tables_number 155
_symmetry_space_group_name_Hall 'R 3 2"'
loop_
_atom_site_label
_atom_site_type_symbol
_atom_site_fract_x
_atom_site_fract_y
_atom_site_fract_z
Cs1 Cs 0.0000 0.0000 0.0000
K1 K 0.0000 0.0000 0.2806
Mo1 Mo 0.0000 0.0000 0.4244
O1 O 0.0000 0.0000 0.5000
O2 O 0.0041 0.2480 0.3989
```

Peak list (6 most intense, 10 to 90 degrees two-theta, by intensity)
- 2θ 26.00, rel. 100.0, (1 1 0)
- 2θ 28.91, rel. 74.9, (1 0 7)
- 2θ 16.50, rel. 69.8, (0 1 2)
- 2θ 10.49, rel. 46.3, (0 0 3)
- 2θ 23.09, rel. 41.3, (0 1 5)
- 2θ 47.71, rel. 32.8, (2 1 7)